# SrAg2Pd2
Theoretical X-ray diffraction stick pattern, CuKα. Input: a structure optimized by DFT (GGA-PBE).
Neutral-atom scattering factors, no anomalous dispersion.

Top 12 peaks for 2θ = 5–70°, in order of rising 2θ:
2θ 15.77, I = 12; 2θ 31.85, I = 9; 2θ 35.73, I = 53; 2θ 36.00, I = 25; 2θ 37.79, I = 100; 2θ 40.94, I = 12; 2θ 47.15, I = 8; 2θ 50.23, I = 9; 2θ 55.64, I = 9; 2θ 57.50, I = 10; 2θ 66.73, I = 13; 2θ 69.57, I = 14

Cell and atoms:
```
SrAg2Pd2
1.0
7.9478 0.0000 0.0000
0.0000 7.9478 0.0000
0.0000 0.0000 3.2054
Sr Ag Pd
2 4 4
direct
0.0000 0.0000 0.0000
0.5000 0.5000 0.0000
0.1243 0.3757 0.0000
0.3757 0.8757 0.0000
0.6243 0.1243 0.0000
0.8757 0.6243 0.0000
0.1711 0.6711 0.5000
0.3289 0.1711 0.5000
0.6711 0.8289 0.5000
0.8289 0.3289 0.5000
```